Record 1
For Sm4Fe3B6, a crystal structure in the Materials Project, relaxed with GGA-PBE gives the computed XRD peak list in this record (a wavelength of 1.5418 Å).

Structural model:
a b c (Å): 8.065 8.065 8.065
angles (deg): 38.80 38.80 38.80
Positions (direct):
Sm: 0.089 0.089 0.089
Sm: 0.243 0.243 0.243
Sm: 0.757 0.757 0.757
Sm: 0.911 0.911 0.911
Fe: 0.385 0.385 0.385
Fe: 0.500 0.500 0.500
Fe: 0.615 0.615 0.615
B: 0.000 0.333 0.667
B: 0.000 0.667 0.333
B: 0.333 0.000 0.667
B: 0.333 0.667 0.000
B: 0.667 0.000 0.333
B: 0.667 0.333 0.000

Largest 10 diffraction maxima, by intensity, 10 to 90 degrees two-theta:
2theta	d (Å)	I/Imax
33.45	2.679	100
41.53	2.175	68
23.90	3.724	36
34.09	2.630	27
59.80	1.547	22
37.59	2.393	18
60.56	1.529	16
65.33	1.428	14
75.42	1.260	12
70.28	1.339	11

Record 2
For TbFeB4, a crystal structure in the Materials Project, relaxed with GGA-PBE gives the computed XRD peak list in this record (a wavelength of 1.5418 Å).

Structural model:
a b c (Å): 5.903 11.418 3.393
angles (deg): 90.00 90.00 90.00
Positions (direct):
Tb: 0.126 0.150 0.000
Tb: 0.374 0.650 0.000
Tb: 0.626 0.350 0.000
Tb: 0.874 0.850 0.000
Fe: 0.133 0.412 0.000
Fe: 0.367 0.912 0.000
Fe: 0.633 0.088 0.000
Fe: 0.867 0.588 0.000
B: 0.024 0.690 0.500
B: 0.111 0.546 0.500
B: 0.140 0.968 0.500
B: 0.219 0.816 0.500
B: 0.281 0.316 0.500
B: 0.360 0.468 0.500
B: 0.389 0.046 0.500
B: 0.476 0.190 0.500
B: 0.524 0.810 0.500
B: 0.611 0.954 0.500
B: 0.640 0.532 0.500
B: 0.719 0.684 0.500
B: 0.781 0.184 0.500
B: 0.860 0.032 0.500
B: 0.889 0.454 0.500
B: 0.976 0.310 0.500

Largest 10 diffraction maxima, by intensity, 10 to 90 degrees two-theta:
2theta	d (Å)	I/Imax
41.32	2.185	100
31.32	2.856	92
26.26	3.393	64
38.66	2.329	47
27.89	3.199	30
21.66	4.104	23
63.81	1.459	22
44.21	2.049	22
47.29	1.922	20
34.29	2.615	20